Diffraction record for Ni2SnMoO6. The powder diffraction line list is simulated, not measured: it uses DFT lattice parameters and positions (PBE+U) and Cu Kα (λ = 1.5418 Å).
Neutral-atom scattering factors, no anomalous dispersion.

Largest 8 diffraction maxima, by intensity, 2θ from 10° to 80°:
2theta, I_rel, index
22.35, 1000, 0 0 1
30.67, 754, 2 0 0
43.92, 544, 2 2 0
49.82, 435, 2 2 1
31.24, 374, 1 1 1
38.27, 371, 2 0 1
50.97, 339, 1 1 2
21.55, 278, 1 1 0

Cell and atoms:
Cell lengths 5.8307, 5.8307, 3.9784 Å; angles 90.00, 90.00, 90.00 degrees
Space group P4mm (No. 99)
Inequivalent atoms, fractional coordinates:
Ni 0.0000 0.5000 0.0000 [2 per cell]
Sn 0.0000 0.0000 0.8634 [1 per cell]
Mo 0.5000 0.5000 0.8154 [1 per cell]
O 0.0000 0.0000 0.3709 [1 per cell]
O 0.2577 0.2577 0.9116 [4 per cell]
O 0.5000 0.5000 0.3756 [1 per cell]